The following is a simulated powder X-ray diffraction pattern of CaPr2Sm5. It was derived from DFT lattice parameters and positions (GGA-PBE), using Cu Kα.

Top 12 peaks for 5 to 70 degrees two-theta, sorted by position:
d_spacing	I (rel.)	hkl
8.739	234	0 1 1
3.018	591	1 2 1
2.907	1000	0 2 4
2.868	392	0 4 0
2.847	409	1 0 3
2.651	265	1 3 0
2.429	225	1 1 4
2.020	245	1 4 3
1.839	129	2 0 0
1.685	351	0 0 8
1.636	200	1 2 7
1.554	305	2 2 4

Atomic structure:
abc: 3.678 11.472 13.488
angles: 90.00 90.00 90.00
Space group Immm (No. 71)
One atom of each set of equivalent atoms:
1 Ca 0.000 0.000 0.000 x2
2 Pr 0.000 0.500 0.257 x4
3 Sm 0.000 0.228 0.367 x8
4 Sm 0.000 0.500 0.000 x2


The following is a simulated powder X-ray diffraction pattern of NaPtRhO4. It was derived from DFT lattice parameters and positions (GGA-PBE), using Cu Kα.

Top 12 peaks for 5 to 70 degrees two-theta, sorted by position:
d_spacing	I (rel.)	hkl
5.173	1000	1 0 1
2.707	605	1 0 3
2.700	123	2 1 1
2.594	218	0 2 2
2.584	214	2 0 2
2.242	415	2 2 0
2.060	107	1 2 3
1.725	209	3 2 1
1.585	227	2 2 4
1.354	71	2 4 2
1.352	72	2 0 6
1.350	72	4 2 2

Atomic structure:
abc: 6.324 6.361 8.967
angles: 90.00 90.00 90.00
Space group Imma (No. 74)
One atom of each set of equivalent atoms:
1 Na 0.000 0.250 0.128 x4
2 Pt 0.000 0.000 0.500 x4
3 Rh 0.250 0.250 0.750 x4
4 O 0.000 0.040 0.729 x8
5 O 0.208 0.250 0.519 x8


The following is a simulated powder X-ray diffraction pattern of In8HgPb4. It was derived from DFT lattice parameters and positions (GGA-PBE), using Cu Kα.

Top 12 peaks for 5 to 70 degrees two-theta, sorted by position:
d_spacing	I (rel.)	hkl
2.870	1000	1 1 3
2.642	425	1 1 4
2.559	258	0 0 7
2.423	293	0 2 0
2.219	235	2 0 0
1.759	198	0 2 7
1.677	143	2 0 7
1.636	181	2 2 0
1.571	171	1 1 10
1.471	131	1 3 3
1.379	166	2 2 7
1.377	105	3 1 3

Atomic structure:
abc: 4.438 4.846 17.914
angles: 90.00 90.00 90.00
Space group Pmm2 (No. 25)
One atom of each set of equivalent atoms:
1 In 0.000 0.000 0.000 x1
2 In 0.000 0.000 0.276 x1
3 In 0.000 0.500 0.426 x1
4 In 0.000 0.500 0.724 x1
5 In 0.500 0.000 0.134 x1
6 In 0.500 0.000 0.720 x1
7 In 0.500 0.500 0.282 x1
8 In 0.500 0.500 0.579 x1
9 Hg 0.000 0.000 0.840 x1
10 Pb 0.000 0.000 0.576 x1
11 Pb 0.000 0.500 0.125 x1
12 Pb 0.500 0.000 0.424 x1
13 Pb 0.500 0.500 0.969 x1


The following is a simulated powder X-ray diffraction pattern of Cd3In2Hg7. It was derived from DFT lattice parameters and positions (GGA-PBE), using Cu Kα.

Top 12 peaks for 5 to 70 degrees two-theta, sorted by position:
d_spacing	I (rel.)	hkl
3.264	189	0 1 1
2.994	269	0 0 6
2.915	424	1 0 5
2.668	910	1 1 2
2.657	252	1 0 -6
2.643	612	2 0 -1
2.571	1000	1 1 -3
2.524	341	1 1 3
2.353	273	1 0 -7
1.860	205	0 1 8
1.660	204	0 2 0
1.493	198	3 1 -4

Atomic structure:
abc: 5.313 3.319 17.985
angles: 90.00 92.59 90.00
Space group P2/m (No. 10)
One atom of each set of equivalent atoms:
1 Cd 0.000 0.000 0.000 x1
2 Cd 0.383 0.500 0.630 x2
3 In 0.070 0.000 0.300 x2
4 Hg 0.046 0.500 0.143 x2
5 Hg 0.240 0.000 0.466 x2
6 Hg 0.447 0.000 0.803 x2
7 Hg 0.500 0.500 0.000 x1


The following is a simulated powder X-ray diffraction pattern of Pa5SiTc2. It was derived from DFT lattice parameters and positions (GGA-PBE), using Cu Kα.

Top 12 peaks for 5 to 70 degrees two-theta, sorted by position:
d_spacing	I (rel.)	hkl
7.466	321	0 0 2
3.821	267	0 2 2
3.433	732	1 1 3
2.801	1000	2 0 0
2.581	993	1 3 1
2.489	694	0 0 6
2.319	960	1 3 3
1.970	287	1 3 5
1.860	593	2 0 6
1.654	366	1 3 7
1.506	253	3 3 3
1.401	299	4 0 0

Atomic structure:
abc: 5.602 8.895 14.932
angles: 90.00 90.00 90.00
Space group Cmcm (No. 63)
One atom of each set of equivalent atoms:
1 Pa 0.000 0.072 0.086 x8
2 Pa 0.000 0.259 0.750 x4
3 Pa 0.000 0.400 0.093 x8
4 Si 0.000 0.224 0.250 x4
5 Tc 0.000 0.261 0.582 x8